Diffraction record for BeMoF5. The powder X-ray diffraction pattern is theoretical, not measured: it uses a cell relaxed with PBE+U and Cu Kα, 1.54184 Å.

Top 6 peaks for 2θ = 5–70°, by angle:
- 17.66 deg, intensity 1000
- 23.62 deg, intensity 353
- 25.36 deg, intensity 800
- 26.04 deg, intensity 253
- 26.45 deg, intensity 428
- 41.96 deg, intensity 257

Crystal structure
abc: 5.435 5.435 7.810
angles: 110.45 110.45 87.73
Element x y z (fractional)
Be: 0.134 0.866 0.750
Be: 0.866 0.134 0.250
Mo: 0.000 0.500 0.000
Mo: 0.500 0.000 0.500
F: 0.145 0.171 0.414
F: 0.156 0.648 0.840
F: 0.171 0.145 0.914
F: 0.341 0.659 0.250
F: 0.352 0.844 0.660
F: 0.648 0.156 0.340
F: 0.659 0.341 0.750
F: 0.829 0.855 0.086
F: 0.844 0.352 0.160
F: 0.855 0.829 0.586